Starting from DFT lattice parameters and positions (PBE), the XRD peak list of ZrTc2W was computed for Cu Kα.
Peak positions follow from Bragg's law for the DFT cell and can differ from measured ones.

Principal peaks in the range 5° ≤ 2θ ≤ 70°, by angle:
2θ (°)  I/Imax  index
24.03  8  1 1 1
27.82  3  2 0 0
39.75  100  2 2 0
46.99  4  3 1 1
57.47  17  4 0 0
63.19  2  3 3 1

Structure:
abc: 6.414 6.414 6.414
angles: 90.00 90.00 90.00
Space group Fm-3m (No. 225)
Unique sites:
Zr 0.000 0.000 0.000 (multiplicity 4)
Tc 0.250 0.250 0.250 (multiplicity 8)
W 0.000 0.000 0.500 (multiplicity 4)